Theoretical powder X-ray diffraction pattern
Compound: K2VAgS2
Radiation: CuKα
Structure: a crystal structure in Alexandria, relaxed with GGA-PBE
Intensities are scaled so that the largest is 100.

```
data_K2VAgS2
_cell_length_a 13.551
_cell_length_b 12.900
_cell_length_c 7.552
_cell_angle_alpha 78.21
_cell_angle_beta 68.73
_cell_angle_gamma 33.06
_space_group_name_H-M_alt 'P 1'
_space_group_IT_number 1
_space_group_name_Hall 'P 1'
loop_
_atom_site_label
_atom_site_type_symbol
_atom_site_fract_x
_atom_site_fract_y
_atom_site_fract_z
K1 K 0.080 0.712 0.405
K2 K 0.288 0.920 0.696
K3 K 0.304 0.405 0.712
K4 K 0.405 0.304 0.080
K5 K 0.595 0.696 0.920
K6 K 0.696 0.595 0.288
K7 K 0.712 0.080 0.304
K8 K 0.920 0.288 0.595
V1 V 0.000 0.500 0.500
V2 V 0.500 0.000 0.500
V3 V 0.500 0.500 0.000
V4 V 0.500 0.500 0.500
Ag1 Ag 0.000 0.000 0.000
Ag2 Ag 0.000 0.000 0.500
Ag3 Ag 0.000 0.500 0.000
Ag4 Ag 0.500 0.000 0.000
S1 S 0.138 0.291 0.744
S2 S 0.256 0.673 0.862
S3 S 0.291 0.138 0.327
S4 S 0.327 0.744 0.291
S5 S 0.673 0.256 0.709
S6 S 0.709 0.862 0.673
S7 S 0.744 0.327 0.138
S8 S 0.862 0.709 0.256
```

Peak list (10 most intense, 2θ = 15–90°, low angle first)
2θ = 25.8°, 3.450 Å, rel. 54; 2θ = 26.5°, 3.361 Å, rel. 30; 2θ = 29.3°, 3.047 Å, rel. 58; 2θ = 29.5°, 3.026 Å, rel. 33; 2θ = 33.4°, 2.686 Å, rel. 100; 2θ = 42.1°, 2.148 Å, rel. 37; 2θ = 43.2°, 2.093 Å, rel. 23; 2θ = 49.9°, 1.827 Å, rel. 26; 2θ = 54.6°, 1.681 Å, rel. 34; 2θ = 59.3°, 1.559 Å, rel. 32